NaAgSnS3: computed X-ray diffraction stick pattern (Cu Ka), based on a PBE-relaxed structure.
Intensities are scaled so that the largest is 1000.

Top 10 peaks for 2θ from 10° to 80°, by intensity:
14.11 deg, rel. 1000, hkl 0 0 2; 29.22 deg, rel. 480, hkl 2 1 1; 33.12 deg, rel. 450, hkl 1 1 3; 35.66 deg, rel. 437, hkl 2 1 3; 33.27 deg, rel. 240, hkl 4 0 2; 29.97 deg, rel. 239, hkl 4 0 0; 44.15 deg, rel. 191, hkl 3 1 4; 36.50 deg, rel. 185, hkl 3 0 4; 50.44 deg, rel. 181, hkl 5 1 3; 22.51 deg, rel. 157, hkl 1 0 3

Atomic structure:
Cell lengths 11.925, 3.712, 12.557 Å; angles 90.00, 90.00, 90.00 degrees
Fractional positions:
Na: 0.171 0.250 0.016
Na: 0.329 0.750 0.516
Na: 0.671 0.250 0.484
Na: 0.829 0.750 0.984
Ag: 0.236 0.250 0.298
Ag: 0.264 0.750 0.798
Ag: 0.736 0.250 0.202
Ag: 0.764 0.750 0.702
Sn: 0.034 0.250 0.709
Sn: 0.466 0.750 0.209
Sn: 0.534 0.250 0.791
Sn: 0.966 0.750 0.291
S: 0.047 0.750 0.859
S: 0.061 0.250 0.398
S: 0.229 0.250 0.653
S: 0.271 0.750 0.153
S: 0.439 0.750 0.898
S: 0.453 0.250 0.359
S: 0.547 0.750 0.641
S: 0.561 0.250 0.102
S: 0.729 0.250 0.847
S: 0.771 0.750 0.347
S: 0.939 0.750 0.602
S: 0.953 0.250 0.141

=====

NaAg3SnS4: computed X-ray diffraction stick pattern (Cu Ka), based on a PBE-relaxed structure.
Intensities are scaled so that the largest is 1000.

Top 10 peaks for 2θ from 10° to 80°, by intensity:
14.45 deg, rel. 1000, hkl 0 1 1; 40.66 deg, rel. 288, hkl 2 2 -3; 24.68 deg, rel. 195, hkl 0 2 1; 29.14 deg, rel. 179, hkl 0 2 2; 27.45 deg, rel. 168, hkl 2 0 -1; 37.14 deg, rel. 168, hkl 2 2 0; 33.92 deg, rel. 165, hkl 1 0 3; 29.87 deg, rel. 160, hkl 2 1 -1; 28.37 deg, rel. 159, hkl 1 1 2; 29.01 deg, rel. 147, hkl 2 0 -2

Atomic structure:
Cell lengths 6.498, 7.730, 10.522 Å; angles 90.00, 107.12, 90.00 degrees
Fractional positions:
Na: 0.050 0.250 0.139
Na: 0.950 0.750 0.861
Ag: 0.305 0.055 0.543
Ag: 0.305 0.445 0.543
Ag: 0.460 0.250 0.802
Ag: 0.540 0.750 0.198
Ag: 0.695 0.555 0.457
Ag: 0.695 0.945 0.457
Sn: 0.105 0.750 0.287
Sn: 0.895 0.250 0.713
S: 0.033 0.750 0.502
S: 0.184 0.250 0.914
S: 0.335 0.000 0.284
S: 0.335 0.500 0.284
S: 0.665 0.000 0.716
S: 0.665 0.500 0.716
S: 0.816 0.750 0.086
S: 0.967 0.250 0.498

=====

NaTcAgS3: computed X-ray diffraction stick pattern (Cu Ka), based on a PBE-relaxed structure.
Intensities are scaled so that the largest is 1000.

Top 10 peaks for 2θ from 10° to 80°, by intensity:
11.25 deg, rel. 1000, hkl 1 0 1; 34.60 deg, rel. 547, hkl 2 1 2; 30.32 deg, rel. 484, hkl 2 1 1; 22.61 deg, rel. 450, hkl 2 0 2; 46.49 deg, rel. 422, hkl 6 1 0; 38.74 deg, rel. 365, hkl 0 1 3; 32.78 deg, rel. 333, hkl 1 1 2; 18.80 deg, rel. 310, hkl 0 0 2; 46.69 deg, rel. 258, hkl 4 1 3; 40.27 deg, rel. 239, hkl 2 0 4

Atomic structure:
Cell lengths 14.222, 3.448, 9.438 Å; angles 90.00, 90.00, 90.00 degrees
Fractional positions:
Na: 0.110 0.250 0.003
Na: 0.390 0.750 0.503
Na: 0.610 0.250 0.497
Na: 0.890 0.750 0.997
Tc: 0.029 0.750 0.387
Tc: 0.471 0.250 0.887
Tc: 0.529 0.750 0.113
Tc: 0.971 0.250 0.613
Ag: 0.210 0.750 0.753
Ag: 0.290 0.250 0.253
Ag: 0.710 0.750 0.747
Ag: 0.790 0.250 0.247
S: 0.038 0.750 0.781
S: 0.116 0.250 0.502
S: 0.163 0.750 0.218
S: 0.337 0.250 0.718
S: 0.384 0.750 0.002
S: 0.462 0.250 0.281
S: 0.538 0.750 0.719
S: 0.616 0.250 0.998
S: 0.663 0.750 0.282
S: 0.837 0.250 0.782
S: 0.884 0.750 0.498
S: 0.962 0.250 0.219